[1]
# SmCoSi3
Theoretical powder diffraction line list, a wavelength of 1.5418 Å. Input: the PBE geometry in the Materials Project.
Intensities are scaled so that the largest is 1000.

Main lines, in order of rising 2θ (2θ = 10–90°):
2θ = 18.55°, I = 215, (0 0 2); 2θ = 23.64°, I = 614, (1 0 1); 2θ = 30.90°, I = 569, (1 1 0); 2θ = 35.69°, I = 1000, (1 0 3); 2θ = 36.28°, I = 901, (1 1 2); 2θ = 44.26°, I = 549, (2 0 0); 2θ = 52.81°, I = 233, (1 0 5); 2θ = 58.11°, I = 476, (2 1 3); 2θ = 64.38°, I = 176, (2 2 0); 2θ = 67.01°, I = 196, (1 1 6); 2θ = 71.30°, I = 189, (2 1 5); 2θ = 76.20°, I = 208, (3 1 2)

Crystal structure
a b c (Å): 4.093 4.093 9.567
angles (deg): 90.00 90.00 90.00
Space group I4mm (No. 107)
Unique sites:
1 Sm 0.000 0.000 0.000 x2
2 Co 0.000 0.000 0.657 x2
3 Si 0.000 0.000 0.423 x2
4 Si 0.000 0.500 0.256 x4


[2]
# SmCoSi2
Theoretical powder diffraction line list, a wavelength of 1.5418 Å. Input: the PBE geometry in the Materials Project.
Intensities are scaled so that the largest is 1000.

Main lines, in order of rising 2θ (2θ = 10–90°):
2θ = 21.86°, I = 170, (0 4 0); 2θ = 22.31°, I = 124, (1 1 0); 2θ = 24.58°, I = 174, (0 2 1); 2θ = 31.19°, I = 149, (0 4 1); 2θ = 31.52°, I = 455, (1 1 1); 2θ = 35.23°, I = 1000, (1 5 0); 2θ = 40.05°, I = 223, (0 6 1); 2θ = 44.06°, I = 195, (2 0 0); 2θ = 44.82°, I = 186, (0 0 2); 2θ = 58.22°, I = 194, (1 5 2); 2θ = 61.04°, I = 126, (2 6 1); 2θ = 64.66°, I = 121, (2 0 2)

Crystal structure
a b c (Å): 4.111 16.262 4.044
angles (deg): 90.00 90.00 90.00
Space group Cmcm (No. 63)
Unique sites:
1 Sm 0.000 0.107 0.250 x4
2 Co 0.000 0.319 0.250 x4
3 Si 0.000 0.250 0.750 x4
4 Si 0.000 0.457 0.250 x4


[3]
# SmCoSi
Theoretical powder diffraction line list, a wavelength of 1.5418 Å. Input: the PBE geometry in the Materials Project.
Intensities are scaled so that the largest is 1000.

Main lines, in order of rising 2θ (2θ = 10–90°):
2θ = 25.90°, I = 1000, (1 0 1); 2θ = 31.73°, I = 335, (1 1 0); 2θ = 34.43°, I = 508, (1 1 1); 2θ = 34.67°, I = 739, (1 0 2); 2θ = 39.76°, I = 215, (0 0 3); 2θ = 41.60°, I = 733, (1 1 2); 2θ = 45.48°, I = 525, (2 0 0); 2θ = 53.08°, I = 289, (2 1 1); 2θ = 58.43°, I = 325, (2 1 2); 2θ = 59.06°, I = 258, (1 0 4); 2θ = 61.98°, I = 226, (2 0 3); 2θ = 77.57°, I = 234, (2 1 4)

Crystal structure
a b c (Å): 3.988 3.988 6.801
angles (deg): 90.00 90.00 90.00
Space group P4/nmm (No. 129, origin choice 2)
Unique sites:
1 Sm 0.250 0.250 0.181 x2
2 Co 0.250 0.750 0.500 x2
3 Si 0.250 0.250 0.677 x2


[4]
# Sm4Co10Si
Theoretical powder diffraction line list, a wavelength of 1.5418 Å. Input: the PBE geometry in the Materials Project.
Intensities are scaled so that the largest is 1000.

Main lines, in order of rising 2θ (2θ = 10–90°):
2θ = 14.71°, I = 1000, (2 0 0); 2θ = 20.87°, I = 892, (2 2 0); 2θ = 26.53°, I = 387, (2 0 2); 2θ = 28.92°, I = 693, (3 2 1); 2θ = 29.68°, I = 864, (4 0 0); 2θ = 37.27°, I = 605, (2 1 3); 2θ = 38.75°, I = 906, (3 3 2); 2θ = 40.25°, I = 409, (3 0 3); 2θ = 47.78°, I = 611, (6 2 0); 2θ = 49.56°, I = 484, (5 3 2); 2θ = 50.81°, I = 366, (4 3 3); 2θ = 53.20°, I = 368, (5 2 3)

Crystal structure
a b c (Å): 12.040 12.040 8.096
angles (deg): 90.00 90.00 90.00
Space group I4_1/amd (No. 141, origin choice 2)
Unique sites:
1 Sm 0.000 0.032 0.316 x16
2 Co 0.000 0.000 0.000 x8
3 Co 0.177 0.057 0.118 x32
4 Si 0.000 0.250 0.875 x4


[5]
# Sm6Co2Si3
Theoretical powder diffraction line list, a wavelength of 1.5418 Å. Input: the PBE geometry in the Materials Project.
Intensities are scaled so that the largest is 1000.

Main lines, in order of rising 2θ (2θ = 10–90°):
2θ = 21.89°, I = 195, (1 1 -1); 2θ = 30.86°, I = 741, (1 1 2); 2θ = 30.99°, I = 1000, (2 1 -3); 2θ = 31.83°, I = 177, (1 0 3); 2θ = 32.06°, I = 184, (3 0 -4); 2θ = 32.17°, I = 175, (4 0 -1); 2θ = 33.52°, I = 192, (3 1 -3); 2θ = 40.66°, I = 267, (0 2 0); 2θ = 40.82°, I = 136, (1 0 -5); 2θ = 41.03°, I = 128, (4 0 1); 2θ = 41.28°, I = 152, (5 0 -4); 2θ = 67.96°, I = 125, (1 3 2)

Crystal structure
a b c (Å): 11.568 4.438 11.661
angles (deg): 90.00 119.61 90.00
Space group Pm (No. 6)
Unique sites:
1 Sm 0.000 0.000 0.000 x1
2 Sm 0.003 0.500 0.237 x1
3 Sm 0.152 0.000 0.533 x1
4 Sm 0.244 0.000 0.870 x1
5 Sm 0.277 0.500 0.145 x1
6 Sm 0.390 0.500 0.500 x1
7 Sm 0.526 0.000 0.779 x1
8 Sm 0.535 0.500 0.009 x1
9 Sm 0.625 0.500 0.386 x1
10 Sm 0.767 0.500 0.780 x1
11 Sm 0.775 0.000 0.245 x1
12 Sm 0.905 0.000 0.635 x1
13 Co 0.057 0.500 0.863 x1
14 Co 0.329 0.500 0.726 x1
15 Co 0.767 0.250 0.011 x2
16 Si 0.104 0.500 0.684 x1
17 Si 0.207 0.000 0.299 x1
18 Si 0.433 0.000 0.344 x1
19 Si 0.481 0.000 0.165 x1
20 Si 0.616 0.000 0.570 x1
21 Si 0.919 0.500 0.450 x1


[6]
# SmCo2Si2
Theoretical powder diffraction line list, a wavelength of 1.5418 Å. Input: the PBE geometry in the Materials Project.
Intensities are scaled so that the largest is 1000.

Main lines, in order of rising 2θ (2θ = 10–90°):
2θ = 24.42°, I = 485, (1 0 1); 2θ = 35.59°, I = 585, (1 0 3); 2θ = 36.34°, I = 173, (0 0 4); 2θ = 37.18°, I = 1000, (1 1 2); 2θ = 46.32°, I = 396, (2 0 0); 2θ = 51.78°, I = 174, (1 0 5); 2θ = 53.05°, I = 124, (2 1 1); 2θ = 59.74°, I = 258, (2 1 3); 2θ = 60.26°, I = 153, (2 0 4); 2θ = 65.94°, I = 199, (1 1 6); 2θ = 71.98°, I = 130, (2 1 5); 2θ = 79.75°, I = 202, (3 1 2)

Crystal structure
a b c (Å): 3.920 3.920 9.888
angles (deg): 90.00 90.00 90.00
Space group I4/mmm (No. 139)
Unique sites:
1 Sm 0.000 0.000 0.000 x2
2 Co 0.000 0.500 0.250 x4
3 Si 0.000 0.000 0.369 x4


[7]
# SmCo9Si4
Theoretical powder diffraction line list, a wavelength of 1.5418 Å. Input: the PBE geometry in the Materials Project.
Intensities are scaled so that the largest is 1000.

Main lines, in order of rising 2θ (2θ = 10–90°):
2θ = 26.95°, I = 115, (2 1 1); 2θ = 31.31°, I = 160, (0 0 4); 2θ = 35.45°, I = 212, (1 1 4); 2θ = 36.45°, I = 211, (2 2 2); 2θ = 36.77°, I = 168, (3 1 0); 2θ = 39.21°, I = 241, (2 0 4); 2θ = 40.13°, I = 1000, (3 1 2); 2θ = 47.71°, I = 378, (0 0 6); 2θ = 48.74°, I = 307, (3 2 3); 2θ = 49.26°, I = 182, (4 1 1); 2θ = 52.98°, I = 137, (4 2 0); 2θ = 57.59°, I = 120, (4 0 4)

Crystal structure
a b c (Å): 7.729 7.729 11.429
angles (deg): 90.00 90.00 90.00
Space group I4/mcm (No. 140)
Unique sites:
1 Sm 0.000 0.000 0.250 x4
2 Co 0.000 0.500 0.000 x4
3 Co 0.070 0.199 0.000 x16
4 Co 0.130 0.370 0.180 x16
5 Si 0.169 0.331 0.379 x16


[8]
# SrCo2Si2
Theoretical powder diffraction line list, a wavelength of 1.5418 Å. Input: the PBE geometry in the Materials Project.
Intensities are scaled so that the largest is 1000.

Main lines, in order of rising 2θ (2θ = 10–90°):
2θ = 16.33°, I = 142, (0 0 2); 2θ = 23.99°, I = 202, (1 0 1); 2θ = 33.00°, I = 221, (0 0 4); 2θ = 33.60°, I = 631, (1 0 3); 2θ = 36.19°, I = 1000, (1 1 2); 2θ = 45.99°, I = 459, (2 0 0); 2θ = 57.76°, I = 166, (2 0 4); 2θ = 58.15°, I = 250, (2 1 3); 2θ = 61.03°, I = 337, (1 1 6); 2θ = 67.08°, I = 142, (2 2 0); 2θ = 78.67°, I = 187, (3 1 2); 2θ = 87.17°, I = 108, (2 0 8)

Crystal structure
a b c (Å): 3.947 3.947 10.857
angles (deg): 90.00 90.00 90.00
Space group I4/mmm (No. 139)
Unique sites:
1 Sr 0.000 0.000 0.000 x2
2 Co 0.000 0.500 0.250 x4
3 Si 0.000 0.000 0.353 x4